Diffraction record for Pm8Th2Mg. The powder XRD pattern is simulated, not measured: it uses a crystal structure in Alexandria, relaxed with PBE and Cu Ka.
Neutral-atom scattering factors, no anomalous dispersion.

Top 10 peaks for 2θ from 15° to 90°, in order of falling intensity:
| Position (°2θ) | Rel. int. |
| --- | --- |
| 31.3 | 100 |
| 31.4 | 79 |
| 31.9 | 49 |
| 33.1 | 40 |
| 56.5 | 34 |
| 46.6 | 31 |
| 63.4 | 27 |
| 27.1 | 26 |
| 57.9 | 19 |
| 15.8 | 17 |

Structural model:
```
data_Pm8Th2Mg
_space_group_name_H-M_alt 'A m m 2'
_space_group_IT_number 38
_space_group_name_Hall 'A 2 -2'
_cell_length_a 5.612
_cell_length_b 13.303
_cell_length_c 10.255
_cell_angle_alpha 90.00
_cell_angle_beta 90.00
_cell_angle_gamma 90.00
loop_
_atom_site_label
_atom_site_fract_x
_atom_site_fract_y
_atom_site_fract_z
Pm1 0.000 0.000 0.000
Pm2 0.000 0.000 0.332
Pm3 0.000 0.247 0.167
Pm4 0.500 0.135 0.503
Pm5 0.500 0.135 0.829
Th1 0.500 0.121 0.166
Mg1 0.000 0.000 0.666
```